Record 1
# NaHf2P3O12
Simulated PXRD pattern, copper Kα. Input: the PBE geometry in the Materials Project.
No peak broadening, texture or thermal motion is included.

Main lines, most intense first (2θ from 10° to 80°):
2θ = 20.0°, d 4.429, I = 100
2θ = 19.4°, d 4.586, I = 79
2θ = 30.9°, d 2.890, I = 58
2θ = 28.0°, d 3.186, I = 43
2θ = 35.1°, d 2.557, I = 33
2θ = 34.7°, d 2.586, I = 30
2θ = 23.2°, d 3.830, I = 24
2θ = 54.8°, d 1.674, I = 22
2θ = 13.9°, d 6.371, I = 21
2θ = 50.8°, d 1.796, I = 21

Structural model:
Unit cell a=8.8580 b=8.8580 c=22.8803 alpha=90.00 beta=90.00 gamma=120.00
Space group R-3c (No. 167, hexagonal axes)
One atom of each set of equivalent atoms:
Na: 0.0000 0.0000 0.0000
Hf: 0.0000 0.0000 0.1456
P: 0.0000 0.2906 0.2500
O: 0.0182 0.2006 0.1950
O: 0.0237 0.1931 0.9125

=====

Record 2
# NaHfScP2SO12
Simulated PXRD pattern, copper Kα. Input: the PBE geometry in the Materials Project.
No peak broadening, texture or thermal motion is included.

Main lines, most intense first (2θ from 10° to 80°):
2θ = 13.8°, d 6.396, I = 100
2θ = 30.7°, d 2.911, I = 88
2θ = 20.1°, d 4.428, I = 85
2θ = 19.2°, d 4.624, I = 77
2θ = 23.2°, d 3.842, I = 61
2θ = 27.9°, d 3.198, I = 49
2θ = 35.1°, d 2.556, I = 35
2θ = 47.3°, d 1.921, I = 31
2θ = 34.6°, d 2.593, I = 24
2θ = 54.9°, d 1.673, I = 24

Structural model:
Unit cell a=15.331 b=8.859 c=9.275 alpha=90.00 beta=123.57 gamma=90.00
Space group Cc (No. 9)
One atom of each set of equivalent atoms:
Na: 0.000 0.244 0.000
Hf: 0.145 0.249 0.448
Sc: 0.349 0.261 0.064
P: 0.104 0.107 0.758
P: 0.249 0.459 0.257
S: 0.395 0.104 0.758
O: 0.006 0.178 0.735
O: 0.102 0.069 0.278
O: 0.108 0.133 0.595
O: 0.173 0.359 0.278
O: 0.181 0.440 0.594
O: 0.202 0.173 0.919
O: 0.302 0.174 0.601
O: 0.318 0.443 0.917
O: 0.323 0.356 0.238
O: 0.394 0.131 0.912
O: 0.398 0.060 0.235
O: 0.488 0.176 0.775